Structure and simulated powder X-ray diffraction pattern of Dy3Ho3Bi2Os (the GGA-PBE geometry in OQMD; copper Kα).

Largest 6 diffraction maxima, most intense first, 15 to 90 degrees two-theta:
| 2θ (°) | d_spacing | Rel. int. |
| --- | --- | --- |
| 30.16 | 2.963 | 100 |
| 32.70 | 2.739 | 87 |
| 39.44 | 2.285 | 65 |
| 37.61 | 2.391 | 51 |
| 33.04 | 2.711 | 51 |
| 60.32 | 1.534 | 35 |

Crystal structure
Cell: 4.241 8.283 8.283 Å, 119.98 90.00 90.00°
Element x y z (fractional)
Dy1 0.000 0.000 0.000
Dy2 0.000 0.226 0.613
Dy3 0.000 0.613 0.226
Ho1 0.500 0.380 0.380
Ho2 0.500 0.613 0.846
Ho3 0.500 0.846 0.613
Bi1 0.500 0.279 0.946
Bi2 0.500 0.946 0.279
Os1 0.000 0.612 0.612


Structure and simulated powder X-ray diffraction pattern of Sc4Nb2In3N3 (the GGA-PBE geometry in OQMD; copper Kα).

Largest 6 diffraction maxima, most intense first, 15 to 90 degrees two-theta:
| 2θ (°) | d_spacing | Rel. int. |
| --- | --- | --- |
| 36.98 | 2.431 | 100 |
| 36.87 | 2.438 | 50 |
| 37.39 | 2.405 | 28 |
| 56.43 | 1.631 | 20 |
| 31.77 | 2.817 | 20 |
| 69.67 | 1.350 | 17 |

Crystal structure
Cell: 5.634 5.634 14.784 Å, 100.85 100.85 60.26°
Element x y z (fractional)
Sc1 0.031 0.192 0.083
Sc2 0.136 0.306 0.417
Sc3 0.192 0.031 0.583
Sc4 0.306 0.136 0.917
Sc5 0.694 0.864 0.083
Sc6 0.808 0.969 0.417
Sc7 0.864 0.694 0.583
Sc8 0.969 0.808 0.917
Nb1 0.359 0.525 0.074
Nb2 0.475 0.641 0.426
Nb3 0.525 0.359 0.574
Nb4 0.641 0.475 0.926
In1 0.102 0.898 0.250
In2 0.268 0.417 0.750
In3 0.417 0.268 0.250
In4 0.583 0.732 0.750
In5 0.732 0.583 0.250
In6 0.898 0.102 0.750
N1 0.000 0.500 0.000
N2 0.160 0.670 0.500
N3 0.330 0.840 0.000
N4 0.500 0.000 0.500
N5 0.670 0.160 0.000
N6 0.840 0.330 0.500


Structure and simulated powder X-ray diffraction pattern of ErScGa4Pt2 (the GGA-PBE geometry in OQMD; copper Kα).

Largest 6 diffraction maxima, most intense first, 15 to 90 degrees two-theta:
| 2θ (°) | d_spacing | Rel. int. |
| --- | --- | --- |
| 36.78 | 2.444 | 100 |
| 35.29 | 2.544 | 86 |
| 43.91 | 2.062 | 52 |
| 42.08 | 2.147 | 50 |
| 38.59 | 2.333 | 48 |
| 26.27 | 3.393 | 43 |

Crystal structure
Cell: 6.656 5.425 5.425 Å, 46.64 90.00 90.00°
Element x y z (fractional)
Er1 0.000 0.000 0.000
Sc1 0.500 0.833 0.833
Ga1 0.204 0.290 0.290
Ga2 0.304 0.548 0.548
Ga3 0.696 0.548 0.548
Ga4 0.796 0.290 0.290
Pt1 0.000 0.712 0.712
Pt2 0.500 0.121 0.121


Structure and simulated powder X-ray diffraction pattern of FeSi18Ge13 (the GGA-PBE geometry in OQMD; copper Kα).

Largest 6 diffraction maxima, most intense first, 15 to 90 degrees two-theta:
| 2θ (°) | d_spacing | Rel. int. |
| --- | --- | --- |
| 27.86 | 3.202 | 100 |
| 46.26 | 1.962 | 59 |
| 54.89 | 1.673 | 14 |
| 54.78 | 1.676 | 14 |
| 55.04 | 1.668 | 13 |
| 85.75 | 1.133 | 12 |

Crystal structure
Cell: 5.563 3.925 31.256 Å, 90.00 90.02 90.00°
Element x y z (fractional)
Fe1 0.000 0.000 0.000
Si1 0.014 0.000 0.883
Si2 0.023 0.000 0.379
Si3 0.023 0.000 0.630
Si4 0.268 0.000 0.945
Si5 0.272 0.000 0.190
Si6 0.272 0.000 0.439
Si7 0.273 0.000 0.690
Si8 0.511 0.500 0.191
Si9 0.511 0.500 0.440
Si10 0.512 0.500 0.691
Si11 0.515 0.500 0.942
Si12 0.523 0.500 0.315
Si13 0.526 0.500 0.062
Si14 0.760 0.500 0.252
Si15 0.761 0.500 0.501
Si16 0.761 0.500 0.752
Si17 0.771 0.500 0.881
Si18 0.787 0.500 0.001
Ge1 0.011 0.000 0.252
Ge2 0.011 0.000 0.501
Ge3 0.012 0.000 0.752
Ge4 0.024 0.000 0.126
Ge5 0.260 0.000 0.818
Ge6 0.261 0.000 0.566
Ge7 0.266 0.000 0.058
Ge8 0.272 0.000 0.316
Ge9 0.523 0.500 0.565
Ge10 0.527 0.500 0.817
Ge11 0.757 0.500 0.127
Ge12 0.772 0.500 0.378
Ge13 0.773 0.500 0.630


Structure and simulated powder X-ray diffraction pattern of GdPbSO (the GGA-PBE geometry in OQMD; copper Kα).

Largest 6 diffraction maxima, most intense first, 15 to 90 degrees two-theta:
| 2θ (°) | d_spacing | Rel. int. |
| --- | --- | --- |
| 30.70 | 2.912 | 100 |
| 32.40 | 2.764 | 95 |
| 25.96 | 3.432 | 87 |
| 33.97 | 2.639 | 68 |
| 29.67 | 3.011 | 67 |
| 21.62 | 4.110 | 61 |

Crystal structure
Cell: 6.229 6.279 16.440 Å, 90.00 90.00 90.00°
Element x y z (fractional)
Gd1 0.040 0.112 0.206
Gd2 0.040 0.388 0.706
Gd3 0.460 0.612 0.206
Gd4 0.460 0.888 0.706
Gd5 0.540 0.112 0.294
Gd6 0.540 0.388 0.794
Gd7 0.960 0.612 0.294
Gd8 0.960 0.888 0.794
Pb1 0.197 0.167 0.963
Pb2 0.197 0.333 0.463
Pb3 0.303 0.667 0.963
Pb4 0.303 0.833 0.463
Pb5 0.697 0.167 0.537
Pb6 0.697 0.333 0.037
Pb7 0.803 0.667 0.537
Pb8 0.803 0.833 0.037
S1 0.110 0.512 0.108
S2 0.110 0.988 0.608
S3 0.390 0.012 0.108
S4 0.390 0.488 0.608
S5 0.610 0.512 0.392
S6 0.610 0.988 0.892
S7 0.890 0.012 0.392
S8 0.890 0.488 0.892
O1 0.247 0.153 0.773
O2 0.247 0.347 0.273
O3 0.253 0.653 0.773
O4 0.253 0.847 0.273
O5 0.747 0.153 0.727
O6 0.747 0.347 0.227
O7 0.753 0.653 0.727
O8 0.753 0.847 0.227


What did the third record say?
Structure and simulated powder X-ray diffraction pattern of ErScGa4Pt2 (the GGA-PBE geometry in OQMD; copper Kα).

Largest 6 diffraction maxima, most intense first, 15 to 90 degrees two-theta:
| 2θ (°) | d_spacing | Rel. int. |
| --- | --- | --- |
| 36.78 | 2.444 | 100 |
| 35.29 | 2.544 | 86 |
| 43.91 | 2.062 | 52 |
| 42.08 | 2.147 | 50 |
| 38.59 | 2.333 | 48 |
| 26.27 | 3.393 | 43 |

Crystal structure
Cell: 6.656 5.425 5.425 Å, 46.64 90.00 90.00°
Element x y z (fractional)
Er1 0.000 0.000 0.000
Sc1 0.500 0.833 0.833
Ga1 0.204 0.290 0.290
Ga2 0.304 0.548 0.548
Ga3 0.696 0.548 0.548
Ga4 0.796 0.290 0.290
Pt1 0.000 0.712 0.712
Pt2 0.500 0.121 0.121


> What is the formula in the first record?

Dy3Ho3Bi2Os